[1]
Theoretical PXRD pattern of HfTl2Sb2O6 for Cu Kα X-rays, from a structure optimized by DFT (GGA-PBE).
Lines closer than 0.1° are merged.

Largest 10 diffraction maxima, in order of rising 2θ, 15 to 90 degrees two-theta:
- 2θ = 21.90°, rel. 79
- 2θ = 23.19°, rel. 57
- 2θ = 26.45°, rel. 60
- 2θ = 30.19°, rel. 81
- 2θ = 30.56°, rel. 100
- 2θ = 30.89°, rel. 92
- 2θ = 31.12°, rel. 96
- 2θ = 40.20°, rel. 30
- 2θ = 40.57°, rel. 56
- 2θ = 54.23°, rel. 37

```
HfTl2Sb2O6
1.0
5.0747 -2.9602 0.0000
5.0747 2.9602 0.0000
-1.5148 0.0000 7.6665
Hf Tl Sb O
1 2 2 6
Direct
0.0000 0.0000 0.0000 Hf
0.2938 0.2938 0.7854 Tl
0.7062 0.7062 0.2146 Tl
0.3775 0.3775 0.2709 Sb
0.6225 0.6225 0.7291 Sb
0.2095 0.2095 0.0913 O
0.2272 0.7179 0.1750 O
0.2821 0.7728 0.8250 O
0.7179 0.2272 0.1750 O
0.7728 0.2821 0.8250 O
0.7905 0.7905 0.9087 O
```

---

[2]
Theoretical PXRD pattern of Er3Ni6Ge2 for Cu Kα X-rays, from a structure optimized by DFT (GGA-PBE).
Lines closer than 0.1° are merged.

Largest 10 diffraction maxima, in order of rising 2θ, 15 to 90 degrees two-theta:
- 2θ = 24.74°, rel. 22
- 2θ = 32.10°, rel. 39
- 2θ = 35.26°, rel. 50
- 2θ = 38.19°, rel. 30
- 2θ = 40.95°, rel. 31
- 2θ = 43.55°, rel. 100
- 2θ = 57.23°, rel. 19
- 2θ = 65.23°, rel. 19
- 2θ = 70.90°, rel. 24
- 2θ = 79.97°, rel. 24

```
Er3Ni6Ge2
1.0
-4.4082 4.4082 4.4082
4.4082 -4.4082 4.4082
4.4082 4.4082 -4.4082
Er Ni Ge
6 12 4
Direct
0.0000 0.2864 0.2864 Er
0.0000 0.7136 0.7136 Er
0.2864 0.0000 0.2864 Er
0.2864 0.2864 0.0000 Er
0.7136 0.0000 0.7136 Er
0.7136 0.7136 0.0000 Er
0.0000 0.3357 0.6643 Ni
0.0000 0.6643 0.3357 Ni
0.3287 0.6643 0.6643 Ni
0.3357 0.0000 0.6643 Ni
0.3357 0.3357 0.6713 Ni
0.3357 0.6643 0.0000 Ni
0.3357 0.6713 0.3357 Ni
0.6643 0.0000 0.3357 Ni
0.6643 0.3287 0.6643 Ni
0.6643 0.3357 0.0000 Ni
0.6643 0.6643 0.3287 Ni
0.6713 0.3357 0.3357 Ni
0.0000 0.0000 0.5000 Ge
0.0000 0.5000 0.0000 Ge
0.5000 0.0000 0.0000 Ge
0.5000 0.5000 0.5000 Ge
```